SrAl2Si6O21: theoretical powder diffractogram (Cu Ka), based on a structure optimized by DFT (PBE).

Largest 12 diffraction maxima, in order of rising 2θ, 2θ = 10–80°:
Position (°2θ), d [Å], I (rel.)
12.73, 6.953, 100.0
16.35, 5.422, 26.5
17.15, 5.170, 58.4
19.10, 4.648, 80.5
19.32, 4.593, 29.2
22.50, 3.951, 33.7
26.14, 3.408, 38.7
27.23, 3.275, 55.3
27.72, 3.219, 22.9
28.96, 3.083, 23.0
29.64, 3.014, 26.0
30.76, 2.907, 28.5

Cell and atoms:
```
data_SrAl2Si6O21
_chemical_formula_sum 'Sr2 Al4 Si12 O42'
_cell_length_a 6.9749
_cell_length_b 17.3309
_cell_length_c 7.8508
_cell_angle_alpha 90.00
_cell_angle_beta 94.58
_cell_angle_gamma 90.00
_space_group_name_H-M_alt 'P 1 21/m 1'
_space_group_IT_number 11
_space_group_name_Hall '-P 2yb'
loop_
_atom_site_label
_atom_site_type_symbol
_atom_site_fract_x
_atom_site_fract_y
_atom_site_fract_z
Sr1 Sr 0.1113 0.2500 0.3355
Al1 Al 0.0976 0.0559 0.3057
Si1 Si 0.0623 0.6564 0.0329
Si2 Si 0.1800 0.0880 0.6804
Si3 Si 0.4158 0.5511 0.1501
O1 O 0.0506 0.1283 0.1460
O2 O 0.0597 0.1450 0.8017
O3 O 0.0868 0.7500 0.9973
O4 O 0.1083 0.9999 0.6873
O5 O 0.1438 0.1213 0.4832
O6 O 0.2169 0.7500 0.4043
O7 O 0.2752 0.6191 0.0608
O8 O 0.2828 0.2500 0.0567
O9 O 0.2983 0.0018 0.2727
O10 O 0.3799 0.7500 0.3549
O11 O 0.4003 0.7144 0.7376
O12 O 0.4075 0.0966 0.7433
O13 O 0.5000 0.0000 0.0000
```